(1)
This entry pairs a crystal structure of Ac5Hg2Os2 with its computed X-ray diffraction stick pattern. Radiation: copper Kα. Structure: a DFT-relaxed cell (PBE, Alexandria).
No peak broadening, texture or thermal motion is included.

Atomic structure:
```
Ac5Hg2Os2
1.0
8.594 -4.091 0.000
8.594 4.091 0.000
0.000 0.000 8.225
Ac Hg Os
10 4 4
Direct
0.000 0.000 0.000
0.057 0.699 0.679
0.199 0.557 0.179
0.301 0.943 0.679
0.443 0.801 0.179
0.500 0.500 0.500
0.557 0.199 0.821
0.699 0.057 0.321
0.801 0.443 0.821
0.943 0.301 0.321
0.219 0.219 0.000
0.281 0.281 0.500
0.719 0.719 0.500
0.781 0.781 0.000
0.110 0.890 0.388
0.390 0.610 0.888
0.610 0.390 0.112
0.890 0.110 0.612
```

Main lines, low angle first (2θ = 5–70°):
2θ 28.87, rel. 372; 2θ 30.12, rel. 1000; 2θ 30.22, rel. 169; 2θ 30.83, rel. 360; 2θ 32.11, rel. 491; 2θ 34.91, rel. 276; 2θ 35.06, rel. 267; 2θ 35.77, rel. 261; 2θ 42.06, rel. 176; 2θ 45.76, rel. 202; 2θ 54.45, rel. 210; 2θ 60.17, rel. 262



(2)
This entry pairs a crystal structure of HgSbBr3 with its computed X-ray diffraction stick pattern. Radiation: copper Kα. Structure: a DFT-relaxed cell (PBE, Alexandria).
No peak broadening, texture or thermal motion is included.

Atomic structure:
```
HgSbBr3
1.0
8.104 0.000 0.000
0.000 9.086 0.000
-0.527 0.000 13.831
Hg Sb Br
4 4 12
Direct
0.008 0.009 0.130
0.008 0.991 0.630
0.992 0.009 0.370
0.992 0.991 0.870
0.105 0.337 0.604
0.105 0.663 0.104
0.895 0.337 0.896
0.895 0.663 0.396
0.130 0.373 0.093
0.130 0.627 0.593
0.252 0.327 0.775
0.252 0.673 0.275
0.358 0.273 0.508
0.358 0.727 0.008
0.642 0.273 0.992
0.642 0.727 0.492
0.748 0.327 0.725
0.748 0.673 0.225
0.870 0.373 0.407
0.870 0.627 0.907
```

Main lines, low angle first (2θ = 5–70°):
2θ 10.93, rel. 1000; 2θ 11.65, rel. 200; 2θ 14.65, rel. 154; 2θ 22.44, rel. 184; 2θ 24.06, rel. 197; 2θ 25.08, rel. 160; 2θ 27.64, rel. 132; 2θ 28.45, rel. 332; 2θ 29.51, rel. 422; 2θ 31.54, rel. 189; 2θ 34.72, rel. 223; 2θ 41.45, rel. 239